Theoretical powder diffraction line list of K17MgCd11 for Cu Ka, from a cell relaxed with PBE.
Intensities are scaled so that the largest is 100.

Largest 10 diffraction maxima, by intensity, 2θ = 10–90°:
- 3.170 Å, rel. 100.0, (4 2 -2)
- 3.149 Å, rel. 83.9, (1 5 -2)
- 5.500 Å, rel. 79.8, (1 1 1)
- 2.863 Å, rel. 58.2, (2 6 -1)
- 2.821 Å, rel. 54.8, (2 0 -4)
- 2.874 Å, rel. 47.4, (3 5 -1)
- 3.137 Å, rel. 44.4, (1 3 -3)
- 3.192 Å, rel. 32.3, (4 0 -1)
- 2.890 Å, rel. 29.4, (3 1 1)
- 5.411 Å, rel. 23.3, (1 1 -2)

Atomic structure:
```
data_K17MgCd11
_cell_length_a 13.452
_cell_length_b 19.005
_cell_length_c 11.452
_cell_angle_alpha 90.00
_cell_angle_beta 124.51
_cell_angle_gamma 90.00
_space_group_name_H-M_alt 'C 1 m 1'
_space_group_IT_number 8
loop_
_space_group_symop_operation_xyz
'x,y,z'
'x,-y,z'
'x+1/2,y+1/2,z'
'x+1/2,-y+1/2,z'
loop_
_atom_site_label
_atom_site_fract_x
_atom_site_fract_y
_atom_site_fract_z
K1 0.000 0.000 0.000
K2 0.000 0.000 0.425
K3 0.021 0.336 0.114
K4 0.022 0.335 0.680
K5 0.136 0.140 0.281
K6 0.174 0.207 0.974
K7 0.182 0.500 0.328
K8 0.184 0.500 0.676
K9 0.246 0.147 0.690
K10 0.268 0.000 0.967
K11 0.392 0.293 0.368
Mg1 0.025 0.500 0.873
Cd1 0.188 0.330 0.514
Cd2 0.267 0.415 0.028
Cd3 0.351 0.332 0.860
Cd4 0.357 0.000 0.538
Cd5 0.432 0.083 0.345
Cd6 0.435 0.415 0.677
```